(1)
Simulated X-ray diffraction stick pattern
Compound: Na3BiB2O6
Radiation: λ = 1.5418 Å (Cu Kα)
Structure: a cell relaxed with PBE
Kinematic intensities with the Lorentz-polarization factor, no thermal factor.

Structure:
Lattice parameters (Å, degrees): 9.0100 7.3323 10.8797 90.00 113.49 90.00
Element x y z (fractional)
Na: 0.0913 0.2450 0.4728
Na: 0.0913 0.2550 0.9728
Na: 0.2193 0.5417 0.1789
Na: 0.2193 0.9583 0.6789
Na: 0.3356 0.7054 0.5300
Na: 0.3356 0.7946 0.0300
Na: 0.6644 0.2054 0.9700
Na: 0.6644 0.2946 0.4700
Na: 0.7807 0.0417 0.3211
Na: 0.7807 0.4583 0.8211
Na: 0.9087 0.7450 0.0272
Na: 0.9087 0.7550 0.5272
Bi: 0.3148 0.0290 0.3030
Bi: 0.3148 0.4710 0.8030
Bi: 0.6852 0.5290 0.1970
Bi: 0.6852 0.9710 0.6970
B: 0.0423 0.6679 0.8185
B: 0.0423 0.8321 0.3185
B: 0.4424 0.1954 0.1238
B: 0.4424 0.3046 0.6238
B: 0.5576 0.6954 0.3762
B: 0.5576 0.8046 0.8762
B: 0.9577 0.1679 0.6815
B: 0.9577 0.3321 0.1815
O: 0.1115 0.2328 0.7064
O: 0.1115 0.2672 0.2064
O: 0.1148 0.6929 0.7264
O: 0.1148 0.8071 0.2264
O: 0.1320 0.5714 0.9350
O: 0.1320 0.9286 0.4350
O: 0.3084 0.0791 0.0840
O: 0.3084 0.4209 0.5840
O: 0.4565 0.6992 0.2418
O: 0.4565 0.8008 0.7418
O: 0.4730 0.1898 0.5353
O: 0.4730 0.3102 0.0353
O: 0.5270 0.6898 0.9647
O: 0.5270 0.8102 0.4647
O: 0.5435 0.1992 0.2582
O: 0.5435 0.3008 0.7582
O: 0.6916 0.5791 0.4160
O: 0.6916 0.9209 0.9160
O: 0.8680 0.0714 0.5650
O: 0.8680 0.4286 0.0650
O: 0.8852 0.1929 0.7736
O: 0.8852 0.3071 0.2736
O: 0.8885 0.7328 0.7936
O: 0.8885 0.7672 0.2936

Most intense lines, 5 to 70 degrees two-theta, sorted by position:
| 2θ/deg | d [Å] | intensity |
| --- | --- | --- |
| 16.25 | 5.454 | 100 |
| 17.78 | 4.989 | 29 |
| 20.44 | 4.346 | 50 |
| 29.49 | 3.029 | 31 |
| 32.65 | 2.743 | 26 |
| 32.84 | 2.727 | 26 |

(2)
Simulated X-ray diffraction stick pattern
Compound: Na6Bi2B4PO16
Radiation: λ = 1.5418 Å (Cu Kα)
Structure: a cell relaxed with PBE
Kinematic intensities with the Lorentz-polarization factor, no thermal factor.

Structure:
Lattice parameters (Å, degrees): 10.2530 10.2530 10.2530 60.00 60.00 60.00
Element x y z (fractional)
Na: 0.0782 0.0782 0.6718
Na: 0.0782 0.6718 0.0782
Na: 0.0782 0.6718 0.6718
Na: 0.3282 0.3282 0.9218
Na: 0.3282 0.9218 0.3282
Na: 0.3282 0.9218 0.9218
Na: 0.6718 0.0782 0.0782
Na: 0.6718 0.0782 0.6718
Na: 0.6718 0.6718 0.0782
Na: 0.9218 0.3282 0.3282
Na: 0.9218 0.3282 0.9218
Na: 0.9218 0.9218 0.3282
Bi: 0.0000 0.5000 0.5000
Bi: 0.5000 0.0000 0.5000
Bi: 0.5000 0.5000 0.0000
Bi: 0.5000 0.5000 0.5000
B: 0.2797 0.2797 0.2797
B: 0.2797 0.2797 0.6608
B: 0.2797 0.6608 0.2797
B: 0.3392 0.7203 0.7203
B: 0.6608 0.2797 0.2797
B: 0.7203 0.3392 0.7203
B: 0.7203 0.7203 0.3392
B: 0.7203 0.7203 0.7203
P: 0.1250 0.1250 0.1250
P: 0.8750 0.8750 0.8750
O: 0.0630 0.0630 0.0630
O: 0.0630 0.0630 0.3112
O: 0.0630 0.3112 0.0630
O: 0.1373 0.2922 0.4072
O: 0.1373 0.4072 0.6633
O: 0.1373 0.6633 0.2922
O: 0.2922 0.1373 0.6633
O: 0.2922 0.4072 0.1373
O: 0.2922 0.6633 0.4072
O: 0.3112 0.0630 0.0630
O: 0.3367 0.5928 0.7078
O: 0.3367 0.7078 0.8627
O: 0.3367 0.8627 0.5928
O: 0.4072 0.1373 0.2922
O: 0.4072 0.2922 0.6633
O: 0.4072 0.6633 0.1373
O: 0.5928 0.3367 0.8627
O: 0.5928 0.7078 0.3367
O: 0.5928 0.8627 0.7078
O: 0.6633 0.1373 0.4072
O: 0.6633 0.2922 0.1373
O: 0.6633 0.4072 0.2922
O: 0.6888 0.9370 0.9370
O: 0.7078 0.3367 0.5928
O: 0.7078 0.5928 0.8627
O: 0.7078 0.8627 0.3367
O: 0.8627 0.3367 0.7078
O: 0.8627 0.5928 0.3367
O: 0.8627 0.7078 0.5928
O: 0.9370 0.6888 0.9370
O: 0.9370 0.9370 0.6888
O: 0.9370 0.9370 0.9370

Most intense lines, 5 to 70 degrees two-theta, sorted by position:
| 2θ/deg | d [Å] | intensity |
| --- | --- | --- |
| 10.57 | 8.372 | 70 |
| 20.31 | 4.372 | 100 |
| 21.23 | 4.186 | 62 |
| 32.07 | 2.791 | 52 |
| 35.01 | 2.563 | 57 |
| 41.30 | 2.186 | 48 |

(3)
Simulated X-ray diffraction stick pattern
Compound: Na3BiBPO7
Radiation: λ = 1.5418 Å (Cu Kα)
Structure: a cell relaxed with PBE
Kinematic intensities with the Lorentz-polarization factor, no thermal factor.

Structure:
Lattice parameters (Å, degrees): 5.4104 7.1514 9.3154 90.00 91.07 90.00
Element x y z (fractional)
Na: 0.2429 0.2500 0.4292
Na: 0.2491 0.5075 0.7417
Na: 0.2491 0.9925 0.7417
Na: 0.7509 0.0075 0.2583
Na: 0.7509 0.4925 0.2583
Na: 0.7571 0.7500 0.5708
Bi: 0.2294 0.7500 0.1521
Bi: 0.7706 0.2500 0.8479
B: 0.2662 0.7500 0.4422
B: 0.7338 0.2500 0.5578
P: 0.2964 0.2500 0.0965
P: 0.7036 0.7500 0.9035
O: 0.0365 0.7500 0.3646
O: 0.1929 0.0779 0.1801
O: 0.1929 0.4221 0.1801
O: 0.2118 0.2500 0.9341
O: 0.2833 0.7500 0.5859
O: 0.4178 0.7500 0.8982
O: 0.4766 0.7500 0.3530
O: 0.5234 0.2500 0.6470
O: 0.5822 0.2500 0.1018
O: 0.7167 0.2500 0.4141
O: 0.7882 0.7500 0.0659
O: 0.8071 0.5779 0.8199
O: 0.8071 0.9221 0.8199
O: 0.9635 0.2500 0.6354

Most intense lines, 5 to 70 degrees two-theta, sorted by position:
| 2θ/deg | d [Å] | intensity |
| --- | --- | --- |
| 9.50 | 9.314 | 98 |
| 15.62 | 5.672 | 91 |
| 19.11 | 4.644 | 49 |
| 20.59 | 4.314 | 64 |
| 22.81 | 3.899 | 60 |
| 24.93 | 3.572 | 100 |

(4)
Simulated X-ray diffraction stick pattern
Compound: Na2BiBSO7
Radiation: λ = 1.5418 Å (Cu Kα)
Structure: a cell relaxed with PBE
Kinematic intensities with the Lorentz-polarization factor, no thermal factor.

Structure:
Lattice parameters (Å, degrees): 5.5282 7.0790 9.6766 90.00 91.17 90.00
Element x y z (fractional)
Na: 0.2398 0.0034 0.1816
Na: 0.2398 0.4966 0.1816
Na: 0.7602 0.5034 0.8184
Na: 0.7602 0.9966 0.8184
Bi: 0.2362 0.7500 0.6393
Bi: 0.7638 0.2500 0.3607
B: 0.2624 0.7500 0.9137
B: 0.7376 0.2500 0.0863
S: 0.2791 0.2500 0.5972
S: 0.7209 0.7500 0.4028
O: 0.0427 0.7500 0.8305
O: 0.1525 0.0813 0.6568
O: 0.1525 0.4187 0.6568
O: 0.2474 0.2500 0.4423
O: 0.2719 0.7500 0.0493
O: 0.4608 0.7500 0.3660
O: 0.4674 0.7500 0.8236
O: 0.5326 0.2500 0.1764
O: 0.5392 0.2500 0.6340
O: 0.7281 0.2500 0.9507
O: 0.7526 0.7500 0.5577
O: 0.8475 0.5813 0.3432
O: 0.8475 0.9187 0.3432
O: 0.9573 0.2500 0.1695

Most intense lines, 5 to 70 degrees two-theta, sorted by position:
| 2θ/deg | d [Å] | intensity |
| --- | --- | --- |
| 9.14 | 9.675 | 100 |
| 15.51 | 5.713 | 65 |
| 20.39 | 4.356 | 50 |
| 24.20 | 3.678 | 37 |
| 24.70 | 3.604 | 44 |
| 25.16 | 3.539 | 36 |

(5)
Simulated X-ray diffraction stick pattern
Compound: Na3SiBiBO7
Radiation: λ = 1.5418 Å (Cu Kα)
Structure: a cell relaxed with PBE
Kinematic intensities with the Lorentz-polarization factor, no thermal factor.

Structure:
Lattice parameters (Å, degrees): 5.3753 7.0183 9.3012 90.00 90.51 90.00
Element x y z (fractional)
Na: 0.2415 0.2500 0.4236
Na: 0.2502 0.5075 0.7461
Na: 0.2502 0.9925 0.7461
Na: 0.7498 0.0075 0.2539
Na: 0.7498 0.4925 0.2539
Na: 0.7585 0.7500 0.5764
Si: 0.2959 0.2500 0.0857
Si: 0.7041 0.7500 0.9143
Bi: 0.2212 0.7500 0.1538
Bi: 0.7788 0.2500 0.8462
B: 0.2648 0.7500 0.4438
B: 0.7352 0.2500 0.5562
O: 0.0331 0.7500 0.3708
O: 0.1826 0.2500 0.9205
O: 0.2030 0.0688 0.1851
O: 0.2030 0.4312 0.1851
O: 0.2905 0.7500 0.5873
O: 0.3971 0.7500 0.9262
O: 0.4755 0.7500 0.3514
O: 0.5245 0.2500 0.6486
O: 0.6029 0.2500 0.0738
O: 0.7095 0.2500 0.4127
O: 0.7970 0.5688 0.8149
O: 0.7970 0.9312 0.8149
O: 0.8174 0.7500 0.0795
O: 0.9669 0.2500 0.6292

Most intense lines, 5 to 70 degrees two-theta, sorted by position:
| 2θ/deg | d [Å] | intensity |
| --- | --- | --- |
| 9.51 | 9.301 | 92 |
| 15.82 | 5.602 | 96 |
| 19.01 | 4.668 | 56 |
| 20.82 | 4.267 | 64 |
| 25.40 | 3.506 | 100 |
| 31.94 | 2.802 | 75 |

(6)
Simulated X-ray diffraction stick pattern
Compound: NiBiB
Radiation: λ = 1.5418 Å (Cu Kα)
Structure: a cell relaxed with PBE
Kinematic intensities with the Lorentz-polarization factor, no thermal factor.

Structure:
Lattice parameters (Å, degrees): 4.1150 4.1150 4.1150 60.00 60.00 60.00
Element x y z (fractional)
Ni: 0.0000 0.0000 0.0000
Bi: 0.2500 0.2500 0.2500
B: 0.7500 0.7500 0.7500

Most intense lines, 5 to 70 degrees two-theta, sorted by position:
| 2θ/deg | d [Å] | intensity |
| --- | --- | --- |
| 26.53 | 3.360 | 100 |
| 30.73 | 2.910 | 27 |
| 44.01 | 2.057 | 71 |
| 52.13 | 1.755 | 50 |
| 54.63 | 1.680 | 8 |
| 64.00 | 1.455 | 12 |

(7)
Simulated X-ray diffraction stick pattern
Compound: Bi4B3O12
Radiation: λ = 1.5418 Å (Cu Kα)
Structure: a cell relaxed with PBE
Kinematic intensities with the Lorentz-polarization factor, no thermal factor.

Structure:
Lattice parameters (Å, degrees): 16.1799 5.2973 5.7316 90.00 95.31 90.00
Element x y z (fractional)
Bi: 0.0000 0.2086 0.0000
Bi: 0.0000 0.7914 0.5000
Bi: 0.2842 0.2390 0.0752
Bi: 0.2842 0.7610 0.5752
Bi: 0.4442 0.2657 0.5802
Bi: 0.4442 0.7343 0.0802
Bi: 0.7147 0.2418 0.7666
Bi: 0.7147 0.7582 0.2666
B: 0.1359 0.3085 0.4149
B: 0.1359 0.6915 0.9149
B: 0.5863 0.2369 0.1500
B: 0.5863 0.7631 0.6500
B: 0.8518 0.2505 0.3632
B: 0.8518 0.7495 0.8632
O: 0.0756 0.1214 0.3397
O: 0.0756 0.8786 0.8397
O: 0.1137 0.4407 0.9179
O: 0.1137 0.5593 0.4179
O: 0.2169 0.2395 0.4638
O: 0.2169 0.7605 0.9638
O: 0.3618 0.4954 0.8296
O: 0.3618 0.5046 0.3296
O: 0.3647 0.0012 0.8286
O: 0.3647 0.9988 0.3286
O: 0.5098 0.3202 0.1971
O: 0.5098 0.6798 0.6971
O: 0.6020 0.0224 0.6526
O: 0.6020 0.9776 0.1526
O: 0.6459 0.4042 0.0782
O: 0.6459 0.5958 0.5782
O: 0.7755 0.1436 0.4223
O: 0.7755 0.8564 0.9223
O: 0.8240 0.4329 0.1577
O: 0.8240 0.5671 0.6577
O: 0.8923 0.4220 0.5672
O: 0.8923 0.5780 0.0672
O: 0.9156 0.0944 0.2928
O: 0.9156 0.9056 0.7928

Most intense lines, 5 to 70 degrees two-theta, sorted by position:
| 2θ/deg | d [Å] | intensity |
| --- | --- | --- |
| 16.51 | 5.370 | 35 |
| 23.23 | 3.830 | 69 |
| 29.22 | 3.056 | 100 |
| 30.97 | 2.888 | 69 |
| 31.33 | 2.855 | 36 |
| 33.84 | 2.649 | 28 |

(8)
Simulated X-ray diffraction stick pattern
Compound: Bi3B7O12
Radiation: λ = 1.5418 Å (Cu Kα)
Structure: a cell relaxed with PBE
Kinematic intensities with the Lorentz-polarization factor, no thermal factor.

Structure:
Lattice parameters (Å, degrees): 7.0434 9.1181 9.4426 95.36 104.26 96.94
Element x y z (fractional)
Bi: 0.0085 0.3375 0.0030
Bi: 0.1335 0.0501 0.1835
Bi: 0.3360 0.7734 0.2629
Bi: 0.6640 0.2266 0.7371
Bi: 0.8665 0.9499 0.8165
Bi: 0.9915 0.6625 0.9970
B: 0.1398 0.2531 0.6943
B: 0.1419 0.7073 0.5208
B: 0.1990 0.3105 0.4549
B: 0.3065 0.5247 0.8105
B: 0.3136 0.0647 0.8580
B: 0.4163 0.8030 0.9090
B: 0.4966 0.3253 0.3157
B: 0.5034 0.6747 0.6843
B: 0.5837 0.1970 0.0910
B: 0.6864 0.9353 0.1420
B: 0.6935 0.4753 0.1895
B: 0.8010 0.6895 0.5451
B: 0.8581 0.2927 0.4792
B: 0.8602 0.7469 0.3057
O: 0.9998 0.3363 0.4060
O: 0.0002 0.6637 0.5940
O: 0.0740 0.7530 0.3813
O: 0.1542 0.1150 0.7657
O: 0.1942 0.3881 0.8130
O: 0.2563 0.2571 0.5883
O: 0.2808 0.6544 0.8916
O: 0.2882 0.9167 0.8703
O: 0.3162 0.3356 0.3633
O: 0.3401 0.7117 0.5656
O: 0.4420 0.5318 0.7306
O: 0.4459 0.2062 0.1835
O: 0.4769 0.1692 0.9302
O: 0.5231 0.8308 0.0698
O: 0.5541 0.7938 0.8165
O: 0.5580 0.4682 0.2694
O: 0.6599 0.2883 0.4344
O: 0.6838 0.6644 0.6367
O: 0.7118 0.0833 0.1297
O: 0.7192 0.3456 0.1084
O: 0.7437 0.7429 0.4117
O: 0.8058 0.6119 0.1870
O: 0.8458 0.8850 0.2343
O: 0.9260 0.2470 0.6187

Most intense lines, 5 to 70 degrees two-theta, sorted by position:
| 2θ/deg | d [Å] | intensity |
| --- | --- | --- |
| 9.74 | 9.076 | 69 |
| 14.16 | 6.253 | 100 |
| 28.55 | 3.127 | 26 |
| 29.80 | 2.998 | 27 |
| 30.24 | 2.955 | 34 |
| 30.83 | 2.900 | 40 |